This entry pairs a crystal structure of Li3Mn4O8 with its theoretical powder diffraction line list. Radiation: CuKα. Structure: a DFT-relaxed cell (GGA+U, the Materials Project).
Intensities are scaled so that the largest is 100.

Principal peaks in the range 2θ from 15° to 90°, in order of rising 2θ:
(hkl)  2θ (°)  d_spacing  I_rel
0 2 0  18.9  4.687  88
0 1 3  23.5  3.785  100
0 0 4  29.1  3.070  63
0 3 -1  29.7  3.011  42
0 2 -4  35.3  2.539  24
2 -1 2  36.0  2.493  56
2 2 1  37.4  2.405  20
-2 2 1  37.5  2.398  21
2 0 3  38.4  2.345  36
0 1 7  52.9  1.732  20

Crystal structure
```
Li3Mn4O8
1.0
5.7243 0.0000 0.0000
0.0295 9.3767 0.0000
0.0071 0.3013 12.2781
Li Mn O
12 16 32
Direct
0.0000 0.0000 0.0000 Li
0.9999 0.3942 0.2739 Li
0.0120 0.9195 0.7600 Li
0.2342 0.4924 0.5107 Li
0.2672 0.5750 0.1366 Li
0.4881 0.1461 0.8888 Li
0.4908 0.9668 0.0295 Li
0.4986 0.6715 0.3750 Li
0.5070 0.0657 0.6484 Li
0.7356 0.5725 0.1381 Li
0.7655 0.4915 0.5120 Li
0.9991 0.0983 0.6192 Li
0.9999 0.8736 0.4885 Mn
0.0016 0.1807 0.1534 Mn
0.0018 0.3378 0.7233 Mn
0.2483 0.8376 0.2194 Mn
0.2516 0.3825 0.9862 Mn
0.2517 0.6848 0.6603 Mn
0.2529 0.2285 0.4290 Mn
0.4983 0.7278 0.9255 Mn
0.4998 0.1921 0.1600 Mn
0.5019 0.8850 0.4953 Mn
0.5040 0.3385 0.7110 Mn
0.7484 0.2281 0.4296 Mn
0.7505 0.3801 0.9884 Mn
0.7529 0.6839 0.6626 Mn
0.7529 0.8369 0.2195 Mn
0.9994 0.7271 0.9376 Mn
0.9996 0.3732 0.4318 O
0.0015 0.6572 0.5549 O
0.0018 0.6946 0.2050 O
0.0028 0.1002 0.4635 O
0.0098 0.7175 0.7638 O
0.2368 0.2256 0.2572 O
0.2453 0.8976 0.6081 O
0.2474 0.8732 0.9362 O
0.2513 0.6028 0.9740 O
0.2523 0.4718 0.6750 O
0.2546 0.1937 0.7128 O
0.2593 0.1545 0.0474 O
0.2611 0.8398 0.3924 O
0.4993 0.0944 0.4749 O
0.4989 0.6737 0.5439 O
0.5003 0.3709 0.4438 O
0.4999 0.4085 0.0939 O
0.4995 0.7138 0.7589 O
0.5009 0.6923 0.2171 O
0.5017 0.9653 0.1851 O
0.5094 0.3477 0.8849 O
0.7374 0.8396 0.3913 O
0.7461 0.1690 0.0410 O
0.7483 0.8710 0.9387 O
0.7496 0.5933 0.9737 O
0.7538 0.1933 0.7092 O
0.7539 0.4635 0.6748 O
0.7586 0.9104 0.6007 O
0.7605 0.2260 0.2563 O
0.9977 0.3920 0.1049 O
0.9984 0.9713 0.1735 O
0.9992 0.3515 0.8899 O
```

=====

This entry pairs a crystal structure of NbFePb2O6 with its theoretical powder diffraction line list. Radiation: CuKα. Structure: a DFT-relaxed cell (GGA+U, the Materials Project).
Intensities are scaled so that the largest is 100.

Principal peaks in the range 2θ from 15° to 90°, in order of rising 2θ:
(hkl)  2θ (°)  d_spacing  I_rel
1 0 0  21.9  4.055  18
1 1 0  31.2  2.867  100
1 1 2  38.4  2.341  15
0 0 4  44.6  2.031  7
2 0 0  44.7  2.026  21
1 1 3  46.1  1.968  7
2 1 2  55.5  1.655  34
1 0 5  61.5  1.507  9
2 2 0  65.1  1.434  15
3 1 0  74.0  1.282  12

Crystal structure
```
NbFePb2O6
1.0
4.0521 0.0000 0.0000
0.0000 4.0521 0.0000
0.0000 0.0000 8.1237
Nb Fe Pb O
1 1 2 6
Direct
0.0000 0.0000 0.0000 Nb
0.0000 0.0000 0.5000 Fe
0.5000 0.5000 0.2823 Pb
0.5000 0.5000 0.7177 Pb
0.0000 0.0000 0.2488 O
0.0000 0.0000 0.7512 O
0.0000 0.5000 0.0000 O
0.0000 0.5000 0.5000 O
0.5000 0.0000 0.0000 O
0.5000 0.0000 0.5000 O
```

=====

This entry pairs a crystal structure of Li2MoO3 with its theoretical powder diffraction line list. Radiation: CuKα. Structure: a DFT-relaxed cell (GGA+U, the Materials Project).
Intensities are scaled so that the largest is 100.

Principal peaks in the range 2θ from 15° to 90°, in order of rising 2θ:
(hkl)  2θ (°)  d_spacing  I_rel
0 1 0  17.9  4.957  100
1 0 0  19.4  4.567  23
0 0 1  20.3  4.372  21
1 -1 0  26.5  3.359  21
1 1 2  34.7  2.588  34
0 2 0  36.2  2.478  18
1 1 -1  41.9  2.155  27
1 2 2  42.1  2.146  54
-1 3 1  60.9  1.521  16
2 3 1  61.0  1.518  15

Crystal structure
```
Li2MoO3
1.0
5.2524 0.0000 0.0000
0.8729 5.1866 0.0000
2.5988 1.3465 4.3724
Li Mo O
4 2 6
Direct
0.0000 0.0000 0.0000 Li
0.0000 0.5000 0.5000 Li
0.3154 0.4913 0.8502 Li
0.6846 0.5087 0.1498 Li
0.3404 0.9980 0.3393 Mo
0.6596 0.0020 0.6607 Mo
0.0047 0.7656 0.7212 O
0.3395 0.2473 0.5778 O
0.3486 0.7729 0.0649 O
0.6514 0.2271 0.9351 O
0.6605 0.7527 0.4222 O
0.9953 0.2344 0.2788 O
```